Calculated powder diffractogram
Compound: SrYCoO4
Radiation: a wavelength of 1.5418 Å
Structure: the PBE+U geometry in Alexandria
Neutral-atom scattering factors, no anomalous dispersion.

Cell: 6.655 7.682 8.431 Å, 116.93 96.99 106.67°
Space group P1 (No. 1)
One atom of each set of equivalent atoms:
Sr: 0.000 0.000 0.000 [1 per cell]
Sr: 0.002 0.244 0.499 [1 per cell]
Sr: 0.996 0.483 0.996 [1 per cell]
Sr: 0.998 0.739 0.497 [1 per cell]
Y: 0.560 0.709 0.130 [1 per cell]
Y: 0.563 0.433 0.611 [1 per cell]
Y: 0.563 0.962 0.666 [1 per cell]
Y: 0.569 0.215 0.145 [1 per cell]
Co: 0.276 0.720 0.819 [1 per cell]
Co: 0.282 0.969 0.316 [1 per cell]
Co: 0.288 0.223 0.817 [1 per cell]
Co: 0.293 0.479 0.322 [1 per cell]
O: 0.274 0.223 0.313 [1 per cell]
O: 0.279 0.837 0.070 [1 per cell]
O: 0.289 0.984 0.830 [1 per cell]
O: 0.302 0.097 0.569 [1 per cell]
O: 0.329 0.620 0.584 [1 per cell]
O: 0.331 0.379 0.079 [1 per cell]
O: 0.333 0.482 0.819 [1 per cell]
O: 0.360 0.750 0.344 [1 per cell]
O: 0.605 0.312 0.886 [1 per cell]
O: 0.610 0.558 0.405 [1 per cell]
O: 0.612 0.888 0.930 [1 per cell]
O: 0.616 0.130 0.384 [1 per cell]
O: 0.920 0.825 0.231 [1 per cell]
O: 0.932 0.583 0.728 [1 per cell]
O: 0.937 0.099 0.733 [1 per cell]
O: 0.952 0.367 0.234 [1 per cell]

Main lines, low angle first (2θ = 10–80°):
(hkl)	d [Å]	2θ/deg	I_rel
1 0 0	6.092	14.5	21
1 2 -1	2.794	32.0	55
2 -2 1	2.787	32.1	53
2 0 -2	2.758	32.5	100
-1 2 1	2.690	33.3	76
0 2 -3	2.682	33.4	75
2 0 2	2.045	44.3	19
3 0 0	2.031	44.6	28
2 -2 3	2.013	45.0	34
1 -4 2	1.920	47.3	42
1 0 -4	1.879	48.4	38
1 4 -4	1.576	58.6	19